Mn3B: computed powder XRD pattern (Cu Kα, 1.54184 Å), based on a GGA-PBE-relaxed structure.

Structure:
```
data_Mn3B
_chemical_formula_sum 'Mn12 B4'
_space_group_name_H-M_alt 'C m c m'
_space_group_IT_number 63
_space_group_name_Hall '-C 2c 2'
_cell_length_a 2.7216
_cell_length_b 8.2645
_cell_length_c 6.6265
_cell_angle_alpha 90.00
_cell_angle_beta 90.00
_cell_angle_gamma 90.00
loop_
_atom_site_label
_atom_site_type_symbol
_atom_site_fract_x
_atom_site_fract_y
_atom_site_fract_z
Mn1 Mn 0.0000 0.0675 0.2500
Mn2 Mn 0.0000 0.3647 0.0497
B1 B 0.0000 0.2361 0.7500
```

Top 6 peaks for 2θ = 15–90°, by intensity:
2θ 44.45, 2.038 Å, rel. 100, hkl 1 1 2
2θ 46.63, 1.948 Å, rel. 59, hkl 0 2 3
2θ 46.93, 1.936 Å, rel. 39, hkl 1 3 0
2θ 49.02, 1.858 Å, rel. 37, hkl 1 3 1
2θ 43.82, 2.066 Å, rel. 25, hkl 0 4 0
2θ 37.34, 2.408 Å, rel. 23, hkl 1 1 1